# 1
Starting from DFT lattice parameters and positions (GGA-PBE), the powder XRD pattern of PrThHgC was computed for CuKα.
Kinematic intensities with the Lorentz-polarization factor, no thermal factor.

Structural model:
```
data_PrThHgC
_chemical_formula_sum 'Pr3 Th3 Hg3 C3'
_symmetry_space_group_name_H-M 'R 3 m'
_symmetry_Int_Tables_number 160
_symmetry_space_group_name_Hall 'R 3 -2"'
_cell_length_a 3.7491
_cell_length_b 3.7491
_cell_length_c 24.4431
_cell_angle_alpha 90.00
_cell_angle_beta 90.00
_cell_angle_gamma 120.00
loop_
_atom_site_label
_atom_site_fract_x
_atom_site_fract_y
_atom_site_fract_z
Pr1 0.0000 0.0000 0.0000
Th1 0.0000 0.0000 0.7853
Hg1 0.0000 0.0000 0.2274
C1 0.0000 0.0000 0.3996
```

Main lines, sorted by position (2θ = 10–80°):
2θ (°)  I_rel  hkl
27.72  29.7  1 0 1
28.44  39.8  0 1 2
31.19  98.6  1 0 4
32.98  42.7  0 0 9
33.12  100.0  0 1 5
37.84  22.1  1 0 7
48.57  48.6  1 1 0
59.99  66.2  1 1 9

# 2
Starting from DFT lattice parameters and positions (GGA-PBE), the powder XRD pattern of Nb3InO9 was computed for CuKα.
Kinematic intensities with the Lorentz-polarization factor, no thermal factor.

Structural model:
```
data_Nb3InO9
_chemical_formula_sum 'Nb6 In2 O18'
_symmetry_space_group_name_H-M 'P 1 21 1'
_symmetry_Int_Tables_number 4
_cell_length_a 5.1834
_cell_length_b 7.6516
_cell_length_c 8.4711
_cell_angle_alpha 90.00
_cell_angle_beta 91.08
_cell_angle_gamma 90.00
loop_
_symmetry_equiv_pos_as_xyz
'x,y,z'
'-x,y+1/2,-z'
loop_
_atom_site_label
_atom_site_fract_x
_atom_site_fract_y
_atom_site_fract_z
Nb1 0.0093 0.0000 0.0043
Nb2 0.4723 0.5663 0.6911
Nb3 0.4868 0.0544 0.7050
In1 0.0295 0.8158 0.4582
O1 0.1158 0.7772 0.9782
O2 0.1631 0.4608 0.7811
O3 0.1670 0.0970 0.8048
O4 0.2413 0.0962 0.4806
O5 0.2754 0.4849 0.4746
O6 0.3146 0.0935 0.1328
O7 0.3206 0.4753 0.1214
O8 0.3259 0.7942 0.6557
O9 0.3753 0.7908 0.3191
```

Main lines, sorted by position (2θ = 10–80°):
2θ (°)  I_rel  hkl
10.44  40.2  0 0 1
23.25  37.9  0 2 0
26.94  100.0  1 0 -2
27.45  81.5  1 0 2
29.01  69.4  1 2 0
30.80  42.1  1 2 -1
31.02  61.9  1 2 1
34.62  36.7  2 0 0

# 3
Starting from DFT lattice parameters and positions (GGA-PBE), the powder XRD pattern of AgHgF5 was computed for CuKα.
Kinematic intensities with the Lorentz-polarization factor, no thermal factor.

Structural model:
```
data_AgHgF5
_chemical_formula_sum 'Ag2 Hg2 F10'
_symmetry_space_group_name_H-M 'P -1'
_symmetry_Int_Tables_number 2
_cell_length_a 5.3802
_cell_length_b 5.3871
_cell_length_c 8.1494
_cell_angle_alpha 93.55
_cell_angle_beta 93.61
_cell_angle_gamma 101.13
loop_
_symmetry_equiv_pos_as_xyz
'x,y,z'
'-x,-y,-z'
loop_
_atom_site_label
_atom_site_fract_x
_atom_site_fract_y
_atom_site_fract_z
Ag1 0.0893 0.4107 0.2499
Hg1 0.5000 0.0000 0.0000
Hg2 0.5000 0.0000 0.5000
F1 0.0804 0.7197 0.3936
F2 0.1357 0.1114 0.1165
F3 0.2201 0.5802 0.8941
F4 0.3889 0.3641 0.3834
F5 0.4060 0.0920 0.7499
```

Main lines, sorted by position (2θ = 10–80°):
2θ (°)  I_rel  hkl
16.83  31.6  1 0 0
21.37  55.3  1 -1 0
26.19  59.5  1 1 0
26.71  100.0  1 0 -2
28.79  55.7  1 0 2
34.04  37.0  0 2 0
34.95  24.2  2 -1 0
50.05  24.7  1 1 -4

# 4
Starting from DFT lattice parameters and positions (GGA-PBE), the powder XRD pattern of Mg5GaRh6 was computed for CuKα.
Kinematic intensities with the Lorentz-polarization factor, no thermal factor.

Structural model:
```
data_Mg5GaRh6
_chemical_formula_sum 'Mg10 Ga2 Rh12'
_symmetry_space_group_name_H-M 'C 1 2/m 1'
_symmetry_Int_Tables_number 12
_cell_length_a 7.5863
_cell_length_b 13.1674
_cell_length_c 4.3765
_cell_angle_alpha 90.00
_cell_angle_beta 125.13
_cell_angle_gamma 90.00
loop_
_symmetry_equiv_pos_as_xyz
'x,y,z'
'-x,-y,-z'
'-x,y,-z'
'x,-y,z'
'x+1/2,y+1/2,z'
'-x+1/2,-y+1/2,-z'
'-x+1/2,y+1/2,-z'
'x+1/2,-y+1/2,z'
loop_
_atom_site_label
_atom_site_fract_x
_atom_site_fract_y
_atom_site_fract_z
Mg1 0.0000 0.0000 0.0000
Mg2 0.0000 0.1653 0.5000
Mg3 0.0000 0.3286 0.0000
Ga1 0.0000 0.5000 0.5000
Rh1 0.2373 0.5000 0.2373
Rh2 0.2437 0.3374 0.7436
```

Main lines, sorted by position (2θ = 10–80°):
2θ (°)  I_rel  hkl
28.80  42.9  1 3 -1
41.16  100.0  1 3 1
41.26  20.1  2 0 -2
50.99  8.4  0 0 2
59.65  19.4  2 6 -2
67.51  7.0  0 6 2
74.98  22.0  2 0 2
75.11  9.6  1 3 -3

# 5
Starting from DFT lattice parameters and positions (GGA-PBE), the powder XRD pattern of LaTb5Y7 was computed for CuKα.
Kinematic intensities with the Lorentz-polarization factor, no thermal factor.

Structural model:
```
data_LaTb5Y7
_chemical_formula_sum 'La2 Tb10 Y14'
_symmetry_space_group_name_H-M 'I m m 2'
_symmetry_Int_Tables_number 44
_cell_length_a 6.6888
_cell_length_b 11.2300
_cell_length_c 11.6767
_cell_angle_alpha 90.00
_cell_angle_beta 90.00
_cell_angle_gamma 90.00
loop_
_symmetry_equiv_pos_as_xyz
'x,y,z'
'-x,-y,z'
'-x,y,z'
'x,-y,z'
'x+1/2,y+1/2,z+1/2'
'-x+1/2,-y+1/2,z+1/2'
'-x+1/2,y+1/2,z+1/2'
'x+1/2,-y+1/2,z+1/2'
loop_
_atom_site_label
_atom_site_fract_x
_atom_site_fract_y
_atom_site_fract_z
La1 0.0000 0.0000 0.0000
Tb1 0.0000 0.5000 0.1912
Tb2 0.2345 0.2315 0.1988
Y1 0.0000 0.0000 0.3903
Y2 0.0000 0.0000 0.7000
Y3 0.0000 0.3297 0.9465
Y4 0.0000 0.3322 0.4458
Y5 0.0000 0.5000 0.7012
```

Main lines, sorted by position (2θ = 10–80°):
2θ (°)  I_rel  hkl
15.19  42.7  0 0 2
30.63  73.2  0 0 4
30.81  51.1  2 0 2
31.13  70.5  2 2 0
31.38  74.7  1 3 2
34.80  100.0  2 2 2
35.48  42.6  0 4 2
57.17  39.5  2 2 6

# 6
Starting from DFT lattice parameters and positions (GGA-PBE), the powder XRD pattern of PaBe3H12 was computed for CuKα.
Kinematic intensities with the Lorentz-polarization factor, no thermal factor.

Structural model:
```
data_PaBe3H12
_chemical_formula_sum 'Pa2 Be6 H24'
_symmetry_space_group_name_H-M 'P 63/m m c'
_symmetry_Int_Tables_number 194
_symmetry_space_group_name_Hall '-P 6c 2c'
_cell_length_a 7.4410
_cell_length_b 7.4410
_cell_length_c 5.6688
_cell_angle_alpha 90.00
_cell_angle_beta 90.00
_cell_angle_gamma 120.00
loop_
_atom_site_label
_atom_site_fract_x
_atom_site_fract_y
_atom_site_fract_z
Pa1 0.3333 0.6667 0.2500
Be1 0.1253 0.5627 0.7500
H1 0.0439 0.3768 0.2500
H2 0.2406 0.4811 0.5725
```

Main lines, sorted by position (2θ = 10–80°):
2θ (°)  I_rel  hkl
13.74  62.4  1 0 0
20.87  100.0  1 0 1
23.92  54.8  1 1 0
31.95  38.7  2 0 1
39.99  28.9  1 1 2
40.30  47.3  2 1 1
53.78  19.7  3 1 1
62.18  13.6  2 1 3

# 7
Starting from DFT lattice parameters and positions (GGA-PBE), the powder XRD pattern of NpTeI2 was computed for CuKα.
Kinematic intensities with the Lorentz-polarization factor, no thermal factor.

Structural model:
```
data_NpTeI2
_chemical_formula_sum 'Np4 Te4 I8'
_symmetry_space_group_name_H-M 'I m a 2'
_symmetry_Int_Tables_number 46
_cell_length_a 6.0851
_cell_length_b 14.4424
_cell_length_c 8.1934
_cell_angle_alpha 90.00
_cell_angle_beta 90.00
_cell_angle_gamma 90.00
loop_
_symmetry_equiv_pos_as_xyz
'x,y,z'
'-x,-y,z'
'-x+1/2,y,z'
'x+1/2,-y,z'
'x+1/2,y+1/2,z+1/2'
'-x+1/2,-y+1/2,z+1/2'
'-x,y+1/2,z+1/2'
'x,-y+1/2,z+1/2'
loop_
_atom_site_label
_atom_site_fract_x
_atom_site_fract_y
_atom_site_fract_z
Np1 0.2500 0.0999 0.0000
Te1 0.0000 0.0000 0.2792
I1 0.2500 0.2075 0.6510
I2 0.2500 0.6014 0.3603
```

Main lines, sorted by position (2θ = 10–80°):
2θ (°)  I_rel  hkl
12.42  100.0  0 1 1
15.80  44.8  1 1 0
21.41  39.0  0 3 1
26.95  37.1  1 1 2
31.98  61.9  2 1 1
32.24  36.0  1 3 2
32.88  41.3  0 5 1
38.21  46.5  1 2 3

# 8
Starting from DFT lattice parameters and positions (GGA-PBE), the powder XRD pattern of BaPr2Cr2N6 was computed for CuKα.
Kinematic intensities with the Lorentz-polarization factor, no thermal factor.

Structural model:
```
data_BaPr2Cr2N6
_chemical_formula_sum 'Ba1 Pr2 Cr2 N6'
_symmetry_space_group_name_H-M 'P -1'
_symmetry_Int_Tables_number 2
_cell_length_a 6.1258
_cell_length_b 6.1840
_cell_length_c 6.6879
_cell_angle_alpha 92.45
_cell_angle_beta 117.04
_cell_angle_gamma 114.37
loop_
_symmetry_equiv_pos_as_xyz
'x,y,z'
'-x,-y,-z'
loop_
_atom_site_label
_atom_site_fract_x
_atom_site_fract_y
_atom_site_fract_z
Ba1 0.0000 0.0000 0.0000
Pr1 0.4236 0.2951 0.6956
Cr1 0.2074 0.6661 0.6814
N1 0.1190 0.8927 0.6861
N2 0.2189 0.5002 0.8799
N3 0.4601 0.7091 0.6154
```

Main lines, sorted by position (2θ = 10–80°):
2θ (°)  I_rel  hkl
17.86  33.2  1 -1 0
25.72  24.4  0 1 1
26.78  100.0  1 0 -2
26.88  17.5  1 -1 1
29.03  29.4  1 -2 0
29.29  32.7  -2 1 1
30.00  45.6  1 0 1
32.37  27.0  0 2 -1

# 9
Starting from DFT lattice parameters and positions (GGA-PBE), the powder XRD pattern of La2Sc2GeSb2 was computed for CuKα.
Kinematic intensities with the Lorentz-polarization factor, no thermal factor.

Structural model:
```
data_La2Sc2GeSb2
_chemical_formula_sum 'La4 Sc4 Ge2 Sb4'
_symmetry_space_group_name_H-M 'I 4/m m m'
_symmetry_Int_Tables_number 139
_symmetry_space_group_name_Hall '-I 4 2'
_cell_length_a 4.9532
_cell_length_b 4.9532
_cell_length_c 16.7230
_cell_angle_alpha 90.00
_cell_angle_beta 90.00
_cell_angle_gamma 90.00
loop_
_atom_site_label
_atom_site_fract_x
_atom_site_fract_y
_atom_site_fract_z
La1 0.0000 0.0000 0.1734
Sc1 0.0000 0.5000 0.0000
Ge1 0.0000 0.0000 0.0000
Sb1 0.0000 0.0000 0.3728
```

Main lines, sorted by position (2θ = 10–80°):
2θ (°)  I_rel  hkl
25.43  100.0  1 1 0
32.11  22.3  0 0 6
32.30  75.6  1 0 5
33.37  48.8  1 1 4
36.27  73.1  2 0 0
49.22  26.2  2 0 6
49.35  45.5  2 1 5
52.24  25.1  2 2 0

# 10
Starting from DFT lattice parameters and positions (GGA-PBE), the powder XRD pattern of CdReH2Au was computed for CuKα.
Kinematic intensities with the Lorentz-polarization factor, no thermal factor.

Structural model:
```
data_CdReH2Au
_chemical_formula_sum 'Cd1 Re1 H2 Au1'
_symmetry_space_group_name_H-M 'P 4/m m m'
_symmetry_Int_Tables_number 123
_symmetry_space_group_name_Hall '-P 4 2'
_cell_length_a 3.7360
_cell_length_b 3.7360
_cell_length_c 5.6010
_cell_angle_alpha 90.00
_cell_angle_beta 90.00
_cell_angle_gamma 90.00
loop_
_atom_site_label
_atom_site_fract_x
_atom_site_fract_y
_atom_site_fract_z
Cd1 0.0000 0.0000 0.0000
Re1 0.0000 0.0000 0.5000
H1 0.0000 0.5000 0.5000
Au1 0.5000 0.5000 0.0000
```

Main lines, sorted by position (2θ = 10–80°):
2θ (°)  I_rel  hkl
15.82  19.9  0 0 1
28.72  88.9  1 0 1
31.96  60.0  0 0 2
33.93  100.0  1 1 0
47.30  79.4  1 1 2
48.75  38.2  2 0 0
57.57  27.1  2 1 1
59.48  40.6  2 0 2

# 11
Starting from DFT lattice parameters and positions (GGA-PBE), the powder XRD pattern of RbMgV was computed for CuKα.
Kinematic intensities with the Lorentz-polarization factor, no thermal factor.

Structural model:
```
data_RbMgV
_chemical_formula_sum 'Rb2 Mg2 V2'
_symmetry_space_group_name_H-M 'P 1'
_symmetry_Int_Tables_number 1
_cell_length_a 4.2076
_cell_length_b 4.8199
_cell_length_c 12.4381
_cell_angle_alpha 98.96
_cell_angle_beta 91.13
_cell_angle_gamma 106.70
loop_
_symmetry_equiv_pos_as_xyz
'x,y,z'
loop_
_atom_site_label
_atom_site_fract_x
_atom_site_fract_y
_atom_site_fract_z
Rb1 0.0000 0.0000 0.0000
Rb2 0.4392 0.3503 0.6491
Mg1 0.3897 0.8827 0.2618
Mg2 0.8355 0.7871 0.4414
V1 0.0351 0.3072 0.3042
V2 0.7445 0.4641 0.2371
```

Main lines, sorted by position (2θ = 10–80°):
2θ (°)  I_rel  hkl
21.75  100.0  0 0 3
21.95  40.4  0 1 1
22.28  84.2  0 1 -2
23.75  56.9  1 0 1
24.87  33.5  1 -1 0
25.66  40.8  1 0 -2
29.79  43.0  -1 1 2
33.55  57.2  1 1 -1

# 12
Starting from DFT lattice parameters and positions (GGA-PBE), the powder XRD pattern of LiAg2Se was computed for CuKα.
Kinematic intensities with the Lorentz-polarization factor, no thermal factor.

Structural model:
```
data_LiAg2Se
_chemical_formula_sum 'Li1 Ag2 Se1'
_symmetry_space_group_name_H-M 'P 1 2/m 1'
_symmetry_Int_Tables_number 10
_cell_length_a 2.8954
_cell_length_b 5.2786
_cell_length_c 4.8717
_cell_angle_alpha 90.00
_cell_angle_beta 90.66
_cell_angle_gamma 90.00
loop_
_symmetry_equiv_pos_as_xyz
'x,y,z'
'-x,-y,-z'
'-x,y,-z'
'x,-y,z'
loop_
_atom_site_label
_atom_site_fract_x
_atom_site_fract_y
_atom_site_fract_z
Li1 0.0000 0.0000 0.0000
Ag1 0.2620 0.5000 0.2445
Se1 0.5000 0.0000 0.5000
```

Main lines, sorted by position (2θ = 10–80°):
2θ (°)  I_rel  hkl
16.80  92.4  0 1 0
24.87  25.8  0 1 1
33.97  80.8  0 2 0
35.90  68.7  1 0 -1
40.23  100.0  1 1 1
40.80  95.7  0 1 2
50.25  50.8  1 2 -1
65.02  22.8  1 3 1